NbHgMoO6: computed powder diffractogram (CuKα), based on the PBE+U geometry in Alexandria.
No peak broadening, texture or thermal motion is included.

Principal peaks in the range 2θ from 10° to 90°, low angle first:
| 2θ/deg | I_rel |
| --- | --- |
| 16.81 | 31 |
| 27.74 | 27 |
| 28.15 | 33 |
| 28.32 | 100 |
| 28.94 | 72 |
| 37.36 | 22 |
| 38.14 | 31 |
| 44.28 | 22 |
| 51.05 | 24 |
| 58.58 | 20 |

Cell and atoms:
```
18
Lattice="-3.6659 3.8032 5.2743 3.6659 -3.8032 5.2743 3.6659 3.8032 -5.2743" Properties=species:S:1:pos:R:3 pbc="T T T"
Nb 0.0000 0.0000 0.0000
Nb 0.0000 3.8032 0.0000
Hg 3.6659 1.9016 2.1952
Hg 0.0000 1.9016 3.0791
Mo 1.8329 1.9016 -2.6371
Mo 1.8329 -1.9016 2.6371
O 1.3688 -0.5408 1.3453
O 5.9630 -0.5408 1.3453
O 3.6659 1.9016 -2.0380
O 1.3688 3.2624 -1.3453
O 2.2971 -0.5408 3.9289
O 0.0000 1.9016 0.7229
O 3.6659 1.9016 4.5514
O 1.3688 4.3440 1.3453
O 2.2971 0.5408 6.6196
O 0.0000 1.9016 7.3123
O -2.2971 4.3440 3.9289
O 2.2971 4.3440 3.9289
```